Entry 1:
Simulated X-ray diffraction stick pattern
Compound: BC7
Radiation: λ = 1.5418 Å (Cu Kα)
Structure: a PBE-relaxed structure
Peak positions follow from Bragg's law for the DFT cell and can differ from measured ones.

Principal peaks in the range 15 to 90 degrees two-theta, in order of rising 2θ:
2θ 41.24, rel. 22.9
2θ 41.71, rel. 71.0
2θ 42.41, rel. 63.5
2θ 43.56, rel. 11.8
2θ 44.90, rel. 100.0
2θ 48.34, rel. 7.2
2θ 66.57, rel. 5.2
2θ 74.85, rel. 52.7
2θ 76.79, rel. 42.7
2θ 84.39, rel. 13.4

Structural model:
Cell: 8.6495 8.6495 8.6495 Å, 16.87 16.87 16.87°
Element x y z (fractional)
1 B 0.0000 0.0000 0.0000
2 C 0.1082 0.1082 0.1082
3 C 0.1684 0.1684 0.1684
4 C 0.5223 0.5223 0.5223
5 C 0.5825 0.5825 0.5825
6 C 0.6946 0.6946 0.6946
7 C 0.7537 0.7537 0.7537
8 C 0.9367 0.9367 0.9367


Entry 2:
Simulated X-ray diffraction stick pattern
Compound: B5C7
Radiation: λ = 1.5418 Å (Cu Kα)
Structure: a PBE-relaxed structure
Peak positions follow from Bragg's law for the DFT cell and can differ from measured ones.

Principal peaks in the range 15 to 90 degrees two-theta, in order of rising 2θ:
2θ 16.70, rel. 37.9
2θ 31.99, rel. 7.8
2θ 42.36, rel. 88.3
2θ 43.13, rel. 100.0
2θ 47.79, rel. 18.6
2θ 70.95, rel. 24.7
2θ 71.36, rel. 15.7
2θ 74.69, rel. 7.6
2θ 77.83, rel. 17.6
2θ 79.97, rel. 9.4

Structural model:
Cell: 4.4678 4.4678 5.3696 Å, 97.98 97.98 45.38°
Element x y z (fractional)
1 B 0.0000 0.0000 0.0000
2 B 0.4410 0.3184 0.1884
3 B 0.5652 0.0292 0.9151
4 B 0.6816 0.5590 0.8116
5 B 0.9708 0.4348 0.0849
6 C 0.0392 0.9608 0.5000
7 C 0.2448 0.6929 0.7332
8 C 0.3071 0.7552 0.2668
9 C 0.3437 0.2828 0.6540
10 C 0.6341 0.0531 0.4324
11 C 0.7172 0.6563 0.3460
12 C 0.9469 0.3659 0.5676